# Zr4UP5
Computed powder diffractogram, Cu Kα (weighted mean of Kα1 and Kα2). Input: a PBE-relaxed structure.

Cell and atoms:
Cell: 6.554 6.554 9.277 Å, 118.38 118.38 33.47°
Sites, in units of the cell vectors:
Zr1 0.100 0.100 0.405
Zr2 0.304 0.304 0.207
Zr3 0.696 0.696 0.793
Zr4 0.900 0.900 0.595
U1 0.500 0.500 0.000
P1 0.103 0.103 0.899
P2 0.300 0.300 0.697
P3 0.500 0.500 0.500
P4 0.700 0.700 0.303
P5 0.897 0.897 0.101

The 10 most intense peaks (2θ = 10–90°), low angle first:
| 2θ/deg | d/Å | I/Imax |
| --- | --- | --- |
| 28.89 | 3.090 | 34 |
| 28.99 | 3.080 | 35 |
| 33.54 | 2.672 | 100 |
| 48.00 | 1.895 | 12 |
| 48.19 | 1.888 | 58 |
| 57.05 | 1.614 | 10 |
| 57.23 | 1.610 | 21 |
| 60.06 | 1.540 | 12 |
| 80.32 | 1.195 | 10 |
| 80.43 | 1.194 | 11 |



# V3P2
Computed powder diffractogram, Cu Kα (weighted mean of Kα1 and Kα2). Input: a PBE-relaxed structure.

Cell and atoms:
Cell: 9.172 3.226 8.823 Å, 90.00 90.00 90.00°
Sites, in units of the cell vectors:
V1 0.050 0.250 0.122
V2 0.121 0.750 0.574
V3 0.207 0.250 0.790
V4 0.293 0.750 0.290
V5 0.379 0.250 0.074
V6 0.450 0.750 0.622
V7 0.550 0.250 0.378
V8 0.621 0.750 0.926
V9 0.707 0.250 0.710
V10 0.793 0.750 0.210
V11 0.879 0.250 0.426
V12 0.950 0.750 0.878
P1 0.039 0.750 0.323
P2 0.199 0.750 0.994
P3 0.301 0.250 0.494
P4 0.461 0.250 0.823
P5 0.539 0.750 0.177
P6 0.699 0.750 0.506
P7 0.801 0.250 0.006
P8 0.961 0.250 0.677

The 10 most intense peaks (2θ = 10–90°), low angle first:
| 2θ/deg | d/Å | I/Imax |
| --- | --- | --- |
| 35.51 | 2.528 | 38 |
| 35.73 | 2.513 | 47 |
| 39.81 | 2.265 | 48 |
| 40.65 | 2.219 | 58 |
| 41.55 | 2.173 | 100 |
| 41.98 | 2.152 | 72 |
| 42.76 | 2.115 | 56 |
| 45.64 | 1.988 | 38 |
| 45.77 | 1.982 | 67 |
| 57.10 | 1.613 | 46 |



# V5P3
Computed powder diffractogram, Cu Kα (weighted mean of Kα1 and Kα2). Input: a PBE-relaxed structure.

Cell and atoms:
Cell: 9.563 6.964 6.172 Å, 90.00 90.00 90.00°
Sites, in units of the cell vectors:
V1 0.006 0.250 0.021
V2 0.088 0.053 0.681
V3 0.088 0.447 0.681
V4 0.199 0.750 0.343
V5 0.233 0.250 0.318
V6 0.267 0.750 0.818
V7 0.301 0.250 0.843
V8 0.412 0.553 0.181
V9 0.412 0.947 0.181
V10 0.494 0.750 0.521
V11 0.506 0.250 0.479
V12 0.588 0.053 0.819
V13 0.588 0.447 0.819
V14 0.699 0.750 0.157
V15 0.733 0.250 0.182
V16 0.767 0.750 0.682
V17 0.801 0.250 0.657
V18 0.912 0.553 0.319
V19 0.912 0.947 0.319
V20 0.994 0.750 0.979
P1 0.008 0.750 0.593
P2 0.172 0.506 0.057
P3 0.172 0.994 0.057
P4 0.328 0.006 0.557
P5 0.328 0.494 0.557
P6 0.492 0.250 0.093
P7 0.508 0.750 0.907
P8 0.672 0.506 0.443
P9 0.672 0.994 0.443
P10 0.828 0.006 0.943
P11 0.828 0.494 0.943
P12 0.992 0.250 0.407

The 10 most intense peaks (2θ = 10–90°), low angle first:
| 2θ/deg | d/Å | I/Imax |
| --- | --- | --- |
| 35.04 | 2.561 | 45 |
| 40.17 | 2.245 | 100 |
| 40.46 | 2.229 | 54 |
| 40.69 | 2.217 | 44 |
| 41.08 | 2.197 | 50 |
| 42.60 | 2.122 | 24 |
| 43.52 | 2.080 | 89 |
| 45.08 | 2.011 | 46 |
| 46.05 | 1.971 | 69 |
| 52.57 | 1.741 | 35 |



# V5P2W
Computed powder diffractogram, Cu Kα (weighted mean of Kα1 and Kα2). Input: a PBE-relaxed structure.

Cell and atoms:
Cell: 6.040 6.040 6.040 Å, 149.02 103.73 84.56°
Sites, in units of the cell vectors:
V1 0.000 0.000 0.000
V2 0.035 0.347 0.688
V3 0.341 0.653 0.688
V4 0.659 0.347 0.312
V5 0.965 0.653 0.312
P1 0.278 0.278 0.000
P2 0.722 0.722 0.000
W1 0.500 0.000 0.500

The 10 most intense peaks (2θ = 10–90°), low angle first:
| 2θ/deg | d/Å | I/Imax |
| --- | --- | --- |
| 15.47 | 5.727 | 43 |
| 30.18 | 2.962 | 21 |
| 31.24 | 2.864 | 47 |
| 32.36 | 2.767 | 26 |
| 36.39 | 2.469 | 33 |
| 37.54 | 2.396 | 35 |
| 38.23 | 2.354 | 100 |
| 41.24 | 2.189 | 91 |
| 47.43 | 1.917 | 43 |
| 50.65 | 1.802 | 31 |



# VP2W
Computed powder diffractogram, Cu Kα (weighted mean of Kα1 and Kα2). Input: a PBE-relaxed structure.

Cell and atoms:
Cell: 3.178 3.178 6.384 Å, 90.00 90.00 120.00°
Sites, in units of the cell vectors:
V1 0.000 0.000 0.000
P1 0.333 0.667 0.240
P2 0.667 0.333 0.760
W1 0.000 0.000 0.500

The 10 most intense peaks (2θ = 10–90°), low angle first:
| 2θ/deg | d/Å | I/Imax |
| --- | --- | --- |
| 13.87 | 6.384 | 62 |
| 27.95 | 3.192 | 23 |
| 32.53 | 2.752 | 66 |
| 35.52 | 2.527 | 53 |
| 43.41 | 2.084 | 100 |
| 54.51 | 1.683 | 15 |
| 58.04 | 1.589 | 26 |
| 67.89 | 1.381 | 16 |
| 75.18 | 1.264 | 19 |
| 86.41 | 1.126 | 17 |



# ZrVP
Computed powder diffractogram, Cu Kα (weighted mean of Kα1 and Kα2). Input: a PBE-relaxed structure.

Cell and atoms:
Cell: 3.563 3.702 7.047 Å, 90.00 90.00 90.00°
Sites, in units of the cell vectors:
Zr1 0.250 0.250 0.144
Zr2 0.750 0.750 0.856
V1 0.250 0.750 0.502
V2 0.750 0.250 0.498
P1 0.250 0.250 0.745
P2 0.750 0.750 0.255

The 10 most intense peaks (2θ = 10–90°), low angle first:
| 2θ/deg | d/Å | I/Imax |
| --- | --- | --- |
| 27.21 | 3.277 | 18 |
| 34.95 | 2.567 | 28 |
| 35.16 | 2.552 | 43 |
| 35.84 | 2.505 | 43 |
| 37.28 | 2.412 | 100 |
| 38.32 | 2.349 | 35 |
| 43.63 | 2.075 | 57 |
| 49.23 | 1.851 | 29 |
| 51.29 | 1.781 | 25 |
| 64.08 | 1.453 | 32 |



# P5W4
Computed powder diffractogram, Cu Kα (weighted mean of Kα1 and Kα2). Input: a PBE-relaxed structure.

Cell and atoms:
Cell: 7.212 7.212 5.871 Å, 90.00 90.00 120.00°
Sites, in units of the cell vectors:
P1 0.000 0.272 0.250
P2 0.000 0.728 0.750
P3 0.272 0.000 0.250
P4 0.272 0.272 0.750
P5 0.333 0.667 0.000
P6 0.333 0.667 0.500
P7 0.667 0.333 0.000
P8 0.667 0.333 0.500
P9 0.728 0.000 0.750
P10 0.728 0.728 0.250
W1 0.000 0.000 0.000
W2 0.000 0.000 0.500
W3 0.000 0.398 0.750
W4 0.000 0.602 0.250
W5 0.398 0.000 0.750
W6 0.398 0.398 0.250
W7 0.602 0.000 0.250
W8 0.602 0.602 0.750

The 10 most intense peaks (2θ = 10–90°), low angle first:
| 2θ/deg | d/Å | I/Imax |
| --- | --- | --- |
| 28.58 | 3.123 | 73 |
| 29.06 | 3.073 | 86 |
| 30.45 | 2.935 | 19 |
| 33.74 | 2.657 | 33 |
| 39.59 | 2.277 | 100 |
| 41.22 | 2.190 | 54 |
| 43.47 | 2.082 | 51 |
| 55.29 | 1.662 | 44 |
| 62.23 | 1.492 | 26 |
| 72.93 | 1.297 | 20 |



# PW
Computed powder diffractogram, Cu Kα (weighted mean of Kα1 and Kα2). Input: a PBE-relaxed structure.

Cell and atoms:
Cell: 5.751 3.273 6.257 Å, 90.00 90.00 90.00°
Sites, in units of the cell vectors:
P1 0.184 0.250 0.066
P2 0.316 0.750 0.566
P3 0.684 0.250 0.434
P4 0.816 0.750 0.934
W1 0.014 0.250 0.689
W2 0.486 0.750 0.189
W3 0.514 0.250 0.811
W4 0.986 0.750 0.311

The 10 most intense peaks (2θ = 10–90°), low angle first:
| 2θ/deg | d/Å | I/Imax |
| --- | --- | --- |
| 20.98 | 4.234 | 33 |
| 28.53 | 3.128 | 30 |
| 30.83 | 2.900 | 100 |
| 31.10 | 2.876 | 50 |
| 42.71 | 2.117 | 35 |
| 42.97 | 2.105 | 61 |
| 44.36 | 2.042 | 93 |
| 46.31 | 1.961 | 39 |
| 68.45 | 1.371 | 25 |
| 85.42 | 1.137 | 20 |



# P2W
Computed powder diffractogram, Cu Kα (weighted mean of Kα1 and Kα2). Input: a PBE-relaxed structure.

Cell and atoms:
Cell: 5.831 5.831 4.998 Å, 90.00 90.00 148.22°
Sites, in units of the cell vectors:
P1 0.070 0.930 0.500
P2 0.202 0.798 0.817
P3 0.798 0.202 0.317
P4 0.930 0.070 0.000
W1 0.407 0.593 0.617
W2 0.593 0.407 0.117

The 10 most intense peaks (2θ = 10–90°), low angle first:
| 2θ/deg | d/Å | I/Imax |
| --- | --- | --- |
| 15.80 | 5.608 | 27 |
| 23.85 | 3.731 | 100 |
| 29.08 | 3.071 | 38 |
| 34.27 | 2.616 | 57 |
| 35.94 | 2.499 | 22 |
| 36.75 | 2.445 | 26 |
| 41.34 | 2.184 | 92 |
| 46.88 | 1.938 | 41 |
| 49.67 | 1.835 | 25 |
| 57.74 | 1.597 | 30 |



# PW3
Computed powder diffractogram, Cu Kα (weighted mean of Kα1 and Kα2). Input: a PBE-relaxed structure.

Cell and atoms:
Cell: 7.398 7.398 7.398 Å, 96.20 96.20 141.64°
Sites, in units of the cell vectors:
P1 0.000 0.292 0.292
P2 0.000 0.708 0.708
P3 0.292 0.000 0.292
P4 0.708 0.000 0.708
W1 0.027 0.027 0.600
W2 0.146 0.500 0.646
W3 0.174 0.362 0.000
W4 0.362 0.174 0.000
W5 0.426 0.426 0.400
W6 0.500 0.146 0.646
W7 0.500 0.854 0.354
W8 0.574 0.973 0.000
W9 0.638 0.638 0.812
W10 0.826 0.826 0.188
W11 0.854 0.500 0.354
W12 0.973 0.574 0.000

The 10 most intense peaks (2θ = 10–90°), low angle first:
| 2θ/deg | d/Å | I/Imax |
| --- | --- | --- |
| 32.84 | 2.727 | 35 |
| 37.68 | 2.387 | 92 |
| 38.66 | 2.329 | 41 |
| 39.24 | 2.296 | 55 |
| 40.84 | 2.210 | 28 |
| 42.03 | 2.150 | 100 |
| 45.46 | 1.995 | 25 |
| 60.05 | 1.541 | 18 |
| 66.96 | 1.397 | 22 |
| 67.10 | 1.395 | 19 |



# ZnP3W
Computed powder diffractogram, Cu Kα (weighted mean of Kα1 and Kα2). Input: a PBE-relaxed structure.

Cell and atoms:
Cell: 4.722 4.722 4.722 Å, 90.00 90.00 90.00°
Sites, in units of the cell vectors:
Zn1 0.000 0.000 0.000
P1 0.000 0.500 0.500
P2 0.500 0.000 0.500
P3 0.500 0.500 0.000
W1 0.500 0.500 0.500

The 10 most intense peaks (2θ = 10–90°), low angle first:
| 2θ/deg | d/Å | I/Imax |
| --- | --- | --- |
| 18.79 | 4.722 | 48 |
| 26.70 | 3.339 | 100 |
| 38.12 | 2.361 | 48 |
| 42.82 | 2.112 | 23 |
| 47.15 | 1.928 | 44 |
| 55.01 | 1.669 | 32 |
| 58.66 | 1.574 | 12 |
| 62.17 | 1.493 | 19 |
| 75.31 | 1.262 | 22 |
| 87.69 | 1.113 | 11 |



# Y2P
Computed powder diffractogram, Cu Kα (weighted mean of Kα1 and Kα2). Input: a PBE-relaxed structure.

Cell and atoms:
Cell: 7.445 3.854 10.289 Å, 90.00 90.00 90.00°
Sites, in units of the cell vectors:
Y1 0.027 0.250 0.200
Y2 0.179 0.750 0.457
Y3 0.321 0.250 0.957
Y4 0.473 0.750 0.700
Y5 0.527 0.250 0.300
Y6 0.679 0.750 0.043
Y7 0.821 0.250 0.543
Y8 0.973 0.750 0.800
P1 0.177 0.250 0.670
P2 0.323 0.750 0.170
P3 0.677 0.250 0.830
P4 0.823 0.750 0.330

The 10 most intense peaks (2θ = 10–90°), low angle first:
| 2θ/deg | d/Å | I/Imax |
| --- | --- | --- |
| 27.46 | 3.248 | 72 |
| 28.66 | 3.115 | 48 |
| 29.62 | 3.016 | 69 |
| 31.39 | 2.850 | 73 |
| 34.62 | 2.591 | 100 |
| 35.02 | 2.562 | 52 |
| 36.97 | 2.431 | 41 |
| 37.27 | 2.413 | 49 |
| 37.88 | 2.375 | 59 |
| 47.16 | 1.927 | 36 |